Entry 1:
Structure and theoretical XRD peak list of Sr3GeO (the PBE geometry in the Materials Project; copper Kα).

Largest 8 diffraction maxima, sorted by position, 15° ≤ 2θ ≤ 90°:
29.09°, d = 3.070 Å, I = 23; 30.41°, d = 2.940 Å, I = 100; 35.25°, d = 2.546 Å, I = 58; 38.55°, d = 2.336 Å, I = 8; 50.71°, d = 1.800 Å, I = 30; 53.22°, d = 1.721 Å, I = 18; 60.28°, d = 1.535 Å, I = 21; 81.93°, d = 1.176 Å, I = 8

Structure:
```
data_Sr3GeO
_space_group_name_H-M_alt 'P n m a'
_space_group_IT_number 62
_space_group_name_Hall '-P 2ac 2n'
_cell_length_a 7.205
_cell_length_b 10.184
_cell_length_c 7.196
_cell_angle_alpha 90.00
_cell_angle_beta 90.00
_cell_angle_gamma 90.00
loop_
_atom_site_label
_atom_site_fract_x
_atom_site_fract_y
_atom_site_fract_z
Sr1 0.009 0.250 0.061
Sr2 0.223 0.031 0.722
Ge1 0.021 0.750 0.495
O1 0.000 0.000 0.000
```

---

Entry 2:
Structure and theoretical XRD peak list of ScNiP (the PBE geometry in the Materials Project; copper Kα).

Largest 8 diffraction maxima, sorted by position, 15° ≤ 2θ ≤ 90°:
27.22°, d = 3.276 Å, I = 64; 31.53°, d = 2.837 Å, I = 1; 45.20°, d = 2.006 Å, I = 100; 53.57°, d = 1.711 Å, I = 27; 65.84°, d = 1.419 Å, I = 15; 72.63°, d = 1.302 Å, I = 10; 83.46°, d = 1.158 Å, I = 30; 89.82°, d = 1.092 Å, I = 7

Structure:
```
data_ScNiP
_space_group_name_H-M_alt 'F -4 3 m'
_space_group_IT_number 216
_space_group_name_Hall 'F -4 2 3'
_cell_length_a 5.674
_cell_length_b 5.674
_cell_length_c 5.674
_cell_angle_alpha 90.00
_cell_angle_beta 90.00
_cell_angle_gamma 90.00
loop_
_atom_site_label
_atom_site_fract_x
_atom_site_fract_y
_atom_site_fract_z
Sc1 0.000 0.000 0.000
Ni1 0.250 0.250 0.250
P1 0.000 0.000 0.500
```

---

Entry 3:
Structure and theoretical XRD peak list of Na2Zn3SiAs4 (the PBE geometry in the Materials Project; copper Kα).

Largest 8 diffraction maxima, sorted by position, 15° ≤ 2θ ≤ 90°:
23.79°, d = 3.740 Å, I = 31; 24.98°, d = 3.564 Å, I = 22; 25.13°, d = 3.543 Å, I = 41; 27.74°, d = 3.216 Å, I = 23; 27.85°, d = 3.203 Å, I = 45; 34.87°, d = 2.573 Å, I = 43; 44.09°, d = 2.054 Å, I = 61; 44.40°, d = 2.040 Å, I = 100

Structure:
```
data_Na2Zn3SiAs4
_space_group_name_H-M_alt 'C 1 m 1'
_space_group_IT_number 8
_space_group_name_Hall 'C -2y'
_cell_length_a 16.560
_cell_length_b 4.083
_cell_length_c 7.129
_cell_angle_alpha 90.00
_cell_angle_beta 115.40
_cell_angle_gamma 90.00
loop_
_atom_site_label
_atom_site_fract_x
_atom_site_fract_y
_atom_site_fract_z
Na1 0.000 0.000 0.000
Na2 0.001 0.500 0.499
Zn1 0.173 0.500 0.022
Zn2 0.179 0.000 0.497
Zn3 0.299 0.500 0.476
Si1 0.306 0.000 0.959
As1 0.124 0.500 0.295
As2 0.145 0.000 0.807
As3 0.360 0.500 0.185
As4 0.366 0.000 0.704
```

---

Entry 4:
Structure and theoretical XRD peak list of Y2Fe4Si9 (the PBE geometry in the Materials Project; copper Kα).

Largest 8 diffraction maxima, sorted by position, 15° ≤ 2θ ≤ 90°:
31.07°, d = 2.879 Å, I = 100; 33.41°, d = 2.682 Å, I = 23; 38.45°, d = 2.341 Å, I = 42; 42.89°, d = 2.108 Å, I = 51; 46.08°, d = 1.970 Å, I = 99; 56.62°, d = 1.626 Å, I = 17; 58.10°, d = 1.588 Å, I = 26; 58.26°, d = 1.584 Å, I = 19

Structure:
```
data_Y2Fe4Si9
_space_group_name_H-M_alt 'P -3 m 1'
_space_group_IT_number 164
_space_group_name_Hall '-P 3 2"'
_cell_length_a 3.9396
_cell_length_b 3.9396
_cell_length_c 16.0915
_cell_angle_alpha 90.00
_cell_angle_beta 90.00
_cell_angle_gamma 120.00
loop_
_atom_site_label
_atom_site_fract_x
_atom_site_fract_y
_atom_site_fract_z
Y1 0.3333 0.6667 0.2583
Fe1 0.3333 0.6667 0.6009
Fe2 0.3333 0.6667 0.9113
Si1 0.0000 0.0000 0.0000
Si2 0.0000 0.0000 0.1493
Si3 0.0000 0.0000 0.3740
Si4 0.3333 0.6667 0.0643
Si5 0.3333 0.6667 0.4571
```

---

- Number 1 is which compound?
  Sr3GeO